(1)
This entry pairs a crystal structure of Pr2Zn2SbAsP2 with its calculated powder XRD pattern. Radiation: Cu Kα (weighted mean of Kα1 and Kα2). Structure: the PBE geometry in OQMD.
Lines closer than 0.1° are merged.

Peak list (12 most intense, 10 to 90 degrees two-theta, most intense first)
2θ/deg	intensity
35.8	100.0
23.6	39.1
44.8	30.2
34.0	24.4
34.4	21.3
76.6	20.9
57.6	19.8
62.4	15.4
57.3	10.8
49.1	10.1
51.2	10.0
65.1	9.6

Cell and atoms:
```
data_Pr2Zn2SbAsP2
_cell_length_a 4.050
_cell_length_b 4.050
_cell_length_c 10.441
_cell_angle_alpha 90.00
_cell_angle_beta 90.00
_cell_angle_gamma 90.00
_symmetry_space_group_name_H-M 'P -4 m 2'
_symmetry_Int_Tables_number 115
loop_
_symmetry_equiv_pos_as_xyz
'x,y,z'
'y,-x,-z'
'-x,-y,z'
'-y,x,-z'
'-x,y,z'
'-y,-x,-z'
'x,-y,z'
'y,x,-z'
loop_
_atom_site_label
_atom_site_fract_x
_atom_site_fract_y
_atom_site_fract_z
Pr1 0.000 0.500 0.236
Zn1 0.000 0.000 0.500
Zn2 0.500 0.500 0.500
Sb1 0.000 0.000 0.000
As1 0.500 0.500 0.000
P1 0.000 0.500 0.651
```

***

(2)
This entry pairs a crystal structure of Pu2Zn2As3P with its calculated powder XRD pattern. Radiation: Cu Kα (weighted mean of Kα1 and Kα2). Structure: the PBE geometry in OQMD.
Lines closer than 0.1° are merged.

Peak list (12 most intense, 10 to 90 degrees two-theta, most intense first)
2θ/deg	intensity
25.5	100.0
25.4	89.0
41.5	41.0
42.6	40.3
49.6	30.2
16.4	23.6
42.1	20.5
42.5	20.0
33.6	17.2
27.0	16.7
48.9	16.3
50.8	15.3

Cell and atoms:
```
data_Pu2Zn2As3P
_cell_length_a 13.272
_cell_length_b 6.102
_cell_length_c 6.201
_cell_angle_alpha 90.00
_cell_angle_beta 117.30
_cell_angle_gamma 90.00
_symmetry_space_group_name_H-M 'C 1 2 1'
_symmetry_Int_Tables_number 5
loop_
_symmetry_equiv_pos_as_xyz
'x,y,z'
'-x,y,-z'
'x+1/2,y+1/2,z'
'-x+1/2,y+1/2,-z'
loop_
_atom_site_label
_atom_site_fract_x
_atom_site_fract_y
_atom_site_fract_z
Pu1 0.122 0.000 0.367
Zn1 0.119 0.481 0.880
As1 0.000 0.696 0.500
As2 0.249 0.739 0.204
P1 0.000 0.277 0.000
```

***

(3)
This entry pairs a crystal structure of Zr2AsPS2 with its calculated powder XRD pattern. Radiation: Cu Kα (weighted mean of Kα1 and Kα2). Structure: the PBE geometry in OQMD.
Lines closer than 0.1° are merged.

Peak list (12 most intense, 10 to 90 degrees two-theta, most intense first)
2θ/deg	intensity
33.0	100.0
44.5	51.4
42.4	42.4
19.0	41.6
27.9	29.1
30.6	25.7
46.4	24.0
38.6	23.6
50.8	18.9
54.8	17.3
68.7	15.8
40.4	15.4

Cell and atoms:
```
data_Zr2AsPS2
_cell_length_a 3.593
_cell_length_b 12.440
_cell_length_c 5.038
_cell_angle_alpha 90.00
_cell_angle_beta 90.00
_cell_angle_gamma 90.00
_symmetry_space_group_name_H-M 'I m m 2'
_symmetry_Int_Tables_number 44
loop_
_symmetry_equiv_pos_as_xyz
'x,y,z'
'-x,-y,z'
'-x,y,z'
'x,-y,z'
'x+1/2,y+1/2,z+1/2'
'-x+1/2,-y+1/2,z+1/2'
'-x+1/2,y+1/2,z+1/2'
'x+1/2,-y+1/2,z+1/2'
loop_
_atom_site_label
_atom_site_fract_x
_atom_site_fract_y
_atom_site_fract_z
Zr1 0.000 0.136 0.000
As1 0.000 0.500 0.783
P1 0.000 0.500 0.251
S1 0.000 0.211 0.499
```

***

(4)
This entry pairs a crystal structure of Tm2Si2As3P with its calculated powder XRD pattern. Radiation: Cu Kα (weighted mean of Kα1 and Kα2). Structure: the PBE geometry in OQMD.
Lines closer than 0.1° are merged.

Peak list (12 most intense, 10 to 90 degrees two-theta, most intense first)
2θ/deg	intensity
32.8	100.0
27.0	98.1
29.5	74.8
38.3	72.8
47.4	56.7
15.1	51.0
43.5	49.7
33.6	48.0
37.6	44.5
17.6	37.8
26.8	36.0
55.2	33.7

Cell and atoms:
```
data_Tm2Si2As3P
_cell_length_a 9.023
_cell_length_b 6.660
_cell_length_c 6.888
_cell_angle_alpha 90.00
_cell_angle_beta 121.60
_cell_angle_gamma 90.00
_symmetry_space_group_name_H-M 'C 1 2 1'
_symmetry_Int_Tables_number 5
loop_
_symmetry_equiv_pos_as_xyz
'x,y,z'
'-x,y,-z'
'x+1/2,y+1/2,z'
'-x+1/2,y+1/2,-z'
loop_
_atom_site_label
_atom_site_fract_x
_atom_site_fract_y
_atom_site_fract_z
Tm1 0.143 0.000 0.354
Si1 0.135 0.519 0.876
As1 0.000 0.344 0.500
As2 0.209 0.832 0.764
P1 0.000 0.720 0.000
```